# 1
This entry pairs a crystal structure of Ba7La6 with its computed X-ray powder pattern. Radiation: Cu Kα. Structure: a cell relaxed with GGA-PBE.
Neutral-atom scattering factors, no anomalous dispersion.

Structure:
a b c (Å): 13.588 13.588 13.588
angles (deg): 31.84 31.84 31.84
Atoms (fractional coordinates):
Ba 0.000 0.000 0.000
Ba 0.088 0.088 0.579
Ba 0.088 0.579 0.088
Ba 0.421 0.912 0.912
Ba 0.579 0.088 0.088
Ba 0.912 0.421 0.912
Ba 0.912 0.912 0.421
La 0.168 0.168 0.168
La 0.353 0.353 0.353
La 0.459 0.459 0.459
La 0.541 0.541 0.541
La 0.647 0.647 0.647
La 0.832 0.832 0.832

Principal peaks in the range 2θ from 5° to 70°, low angle first:
| 2θ (°) | intensity |
| --- | --- |
| 23.87 | 272 |
| 26.88 | 184 |
| 27.68 | 1000 |
| 28.92 | 340 |
| 30.00 | 276 |
| 44.38 | 167 |
| 45.24 | 208 |
| 48.88 | 283 |
| 48.99 | 157 |
| 57.11 | 149 |

---

# 2
This entry pairs a crystal structure of Ba3La with its computed X-ray powder pattern. Radiation: Cu Kα. Structure: a cell relaxed with GGA-PBE.
Neutral-atom scattering factors, no anomalous dispersion.

Structure:
a b c (Å): 7.631 7.631 7.631
angles (deg): 90.00 90.00 90.00
Atoms (fractional coordinates):
Ba 0.000 0.250 0.500
Ba 0.000 0.750 0.500
Ba 0.250 0.500 0.000
Ba 0.500 0.000 0.250
Ba 0.500 0.000 0.750
Ba 0.750 0.500 0.000
La 0.000 0.000 0.000
La 0.500 0.500 0.500

Principal peaks in the range 2θ from 5° to 70°, low angle first:
| 2θ (°) | intensity |
| --- | --- |
| 23.32 | 344 |
| 26.11 | 1000 |
| 28.66 | 820 |
| 42.73 | 263 |
| 44.42 | 492 |
| 47.67 | 195 |
| 53.72 | 140 |
| 55.16 | 248 |
| 65.92 | 219 |
| 67.20 | 143 |

---

# 3
This entry pairs a crystal structure of Ba3La with its computed X-ray powder pattern. Radiation: Cu Kα. Structure: a cell relaxed with GGA-PBE.
Neutral-atom scattering factors, no anomalous dispersion.

Structure:
a b c (Å): 4.094 6.717 7.948
angles (deg): 90.00 100.06 90.00
Atoms (fractional coordinates):
Ba 0.000 0.000 0.000
Ba 0.245 0.500 0.739
Ba 0.755 0.500 0.261
La 0.500 0.000 0.500

Principal peaks in the range 2θ from 5° to 70°, low angle first:
| 2θ (°) | intensity |
| --- | --- |
| 26.36 | 506 |
| 26.57 | 1000 |
| 37.66 | 98 |
| 37.92 | 193 |
| 46.69 | 315 |
| 46.91 | 158 |
| 47.07 | 104 |
| 54.70 | 66 |
| 54.75 | 66 |
| 61.82 | 91 |

---

# 4
This entry pairs a crystal structure of Ba3La with its computed X-ray powder pattern. Radiation: Cu Kα. Structure: a cell relaxed with GGA-PBE.
Neutral-atom scattering factors, no anomalous dispersion.

Structure:
a b c (Å): 4.115 4.115 13.597
angles (deg): 90.00 90.00 110.13
Atoms (fractional coordinates):
Ba 0.000 0.000 0.000
Ba 0.500 0.500 0.266
Ba 0.500 0.500 0.734
La 0.000 0.000 0.500

Principal peaks in the range 2θ from 5° to 70°, low angle first:
| 2θ (°) | intensity |
| --- | --- |
| 26.22 | 242 |
| 26.42 | 258 |
| 26.54 | 1000 |
| 37.56 | 187 |
| 46.46 | 182 |
| 46.71 | 217 |
| 46.92 | 98 |
| 47.04 | 106 |
| 54.65 | 125 |
| 61.33 | 128 |

---

# 5
This entry pairs a crystal structure of Ba3La with its computed X-ray powder pattern. Radiation: Cu Kα. Structure: a cell relaxed with GGA-PBE.
Neutral-atom scattering factors, no anomalous dispersion.

Structure:
a b c (Å): 8.267 8.267 6.645
angles (deg): 90.00 90.00 108.38
Atoms (fractional coordinates):
Ba 0.124 0.876 0.750
Ba 0.127 0.386 0.750
Ba 0.386 0.127 0.250
Ba 0.614 0.873 0.750
Ba 0.873 0.614 0.250
Ba 0.876 0.124 0.250
La 0.391 0.609 0.250
La 0.609 0.391 0.750

Principal peaks in the range 2θ from 5° to 70°, low angle first:
| 2θ (°) | intensity |
| --- | --- |
| 26.38 | 1000 |
| 26.59 | 237 |
| 26.83 | 243 |
| 38.14 | 181 |
| 46.29 | 102 |
| 46.44 | 106 |
| 46.82 | 188 |
| 47.12 | 204 |
| 54.32 | 128 |
| 62.03 | 118 |

---

# 6
This entry pairs a crystal structure of BaLi17La with its computed X-ray powder pattern. Radiation: Cu Kα. Structure: a cell relaxed with GGA-PBE.
Neutral-atom scattering factors, no anomalous dispersion.

Structure:
a b c (Å): 7.742 7.742 7.742
angles (deg): 83.16 83.16 83.16
Atoms (fractional coordinates):
Ba 0.000 0.000 0.000
Li 0.004 0.004 0.502
Li 0.004 0.502 0.004
Li 0.062 0.361 0.643
Li 0.062 0.643 0.361
Li 0.220 0.694 0.694
Li 0.262 0.262 0.262
Li 0.358 0.358 0.854
Li 0.358 0.854 0.358
Li 0.361 0.062 0.643
Li 0.361 0.643 0.062
Li 0.453 0.453 0.453
Li 0.502 0.004 0.004
Li 0.643 0.062 0.361
Li 0.643 0.361 0.062
Li 0.694 0.220 0.694
Li 0.694 0.694 0.220
Li 0.854 0.358 0.358
La 0.699 0.699 0.699

Principal peaks in the range 2θ from 5° to 70°, low angle first:
| 2θ (°) | intensity |
| --- | --- |
| 11.58 | 785 |
| 17.26 | 1000 |
| 17.83 | 287 |
| 24.92 | 887 |
| 25.90 | 286 |
| 27.18 | 266 |
| 30.13 | 349 |
| 34.93 | 276 |
| 35.23 | 477 |
| 50.45 | 271 |

---

# 7
This entry pairs a crystal structure of Ba4LiLa3S8 with its computed X-ray powder pattern. Radiation: Cu Kα. Structure: a cell relaxed with GGA-PBE.
Neutral-atom scattering factors, no anomalous dispersion.

Structure:
a b c (Å): 8.713 8.713 8.713
angles (deg): 59.18 59.18 59.18
Atoms (fractional coordinates):
Ba 0.000 0.000 0.000
Ba 0.000 0.500 0.500
Ba 0.500 0.000 0.500
Ba 0.500 0.500 0.000
Li 0.500 0.500 0.500
La 0.000 0.000 0.500
La 0.000 0.500 0.000
La 0.500 0.000 0.000
S 0.238 0.742 0.742
S 0.241 0.241 0.241
S 0.258 0.258 0.762
S 0.258 0.762 0.258
S 0.742 0.238 0.742
S 0.742 0.742 0.238
S 0.759 0.759 0.759
S 0.762 0.258 0.258

Principal peaks in the range 2θ from 5° to 70°, low angle first:
| 2θ (°) | intensity |
| --- | --- |
| 24.88 | 158 |
| 25.30 | 435 |
| 29.18 | 1000 |
| 41.46 | 360 |
| 42.00 | 363 |
| 49.43 | 158 |
| 51.96 | 190 |
| 60.49 | 115 |
| 68.17 | 153 |
| 68.94 | 161 |

---

# 8
This entry pairs a crystal structure of Ba3LaMg4 with its computed X-ray powder pattern. Radiation: Cu Kα. Structure: a cell relaxed with GGA-PBE.
Neutral-atom scattering factors, no anomalous dispersion.

Structure:
a b c (Å): 4.218 4.218 17.342
angles (deg): 90.00 90.00 90.00
Atoms (fractional coordinates):
Ba 0.000 0.000 0.000
Ba 0.000 0.000 0.263
Ba 0.000 0.000 0.737
La 0.000 0.000 0.500
Mg 0.500 0.500 0.130
Mg 0.500 0.500 0.398
Mg 0.500 0.500 0.602
Mg 0.500 0.500 0.870

Principal peaks in the range 2θ from 5° to 70°, low angle first:
| 2θ (°) | intensity |
| --- | --- |
| 20.49 | 291 |
| 21.06 | 557 |
| 29.55 | 1000 |
| 29.96 | 518 |
| 36.57 | 268 |
| 42.89 | 192 |
| 47.14 | 128 |
| 48.25 | 124 |
| 52.17 | 175 |
| 52.94 | 382 |

---

# 9
This entry pairs a crystal structure of BaLa3Mg with its computed X-ray powder pattern. Radiation: Cu Kα. Structure: a cell relaxed with GGA-PBE.
Neutral-atom scattering factors, no anomalous dispersion.

Structure:
a b c (Å): 6.099 6.099 6.099
angles (deg): 90.00 90.00 90.00
Atoms (fractional coordinates):
Ba 0.000 0.000 0.000
La 0.000 0.500 0.500
La 0.500 0.000 0.500
La 0.500 0.500 0.000
Mg 0.500 0.500 0.500

Principal peaks in the range 2θ from 5° to 70°, low angle first:
| 2θ (°) | intensity |
| --- | --- |
| 14.52 | 11 |
| 25.29 | 1000 |
| 29.29 | 626 |
| 32.84 | 6 |
| 41.89 | 471 |
| 49.57 | 478 |
| 51.93 | 167 |
| 60.74 | 78 |
| 66.87 | 195 |
| 68.84 | 214 |

---

# 10
This entry pairs a crystal structure of Ba2LaMg2 with its computed X-ray powder pattern. Radiation: Cu Kα. Structure: a cell relaxed with GGA-PBE.
Neutral-atom scattering factors, no anomalous dispersion.

Structure:
a b c (Å): 9.447 9.447 4.815
angles (deg): 90.00 90.00 90.00
Atoms (fractional coordinates):
Ba 0.171 0.329 0.000
Ba 0.329 0.829 0.000
Ba 0.671 0.171 0.000
Ba 0.829 0.671 0.000
La 0.000 0.000 0.500
La 0.500 0.500 0.500
Mg 0.125 0.625 0.500
Mg 0.375 0.125 0.500
Mg 0.625 0.875 0.500
Mg 0.875 0.375 0.500

Principal peaks in the range 2θ from 5° to 70°, low angle first:
| 2θ (°) | intensity |
| --- | --- |
| 21.03 | 467 |
| 22.77 | 458 |
| 26.43 | 864 |
| 26.69 | 249 |
| 28.10 | 1000 |
| 29.91 | 660 |
| 37.35 | 223 |
| 43.75 | 252 |
| 44.85 | 359 |
| 48.57 | 339 |

---

# 11
This entry pairs a crystal structure of BaLaMgNbO6 with its computed X-ray powder pattern. Radiation: Cu Kα. Structure: a cell relaxed with GGA-PBE.
Neutral-atom scattering factors, no anomalous dispersion.

Structure:
a b c (Å): 5.755 5.755 5.755
angles (deg): 60.00 60.00 60.00
Atoms (fractional coordinates):
Ba 0.000 0.000 0.000
La 0.500 0.500 0.500
Mg 0.750 0.750 0.750
Nb 0.250 0.250 0.250
O 0.003 0.003 0.497
O 0.003 0.497 0.003
O 0.003 0.497 0.497
O 0.497 0.003 0.003
O 0.497 0.003 0.497
O 0.497 0.497 0.003

Principal peaks in the range 2θ from 5° to 70°, low angle first:
| 2θ (°) | intensity |
| --- | --- |
| 18.89 | 97 |
| 21.84 | 112 |
| 31.08 | 1000 |
| 36.62 | 49 |
| 38.31 | 178 |
| 44.53 | 337 |
| 50.12 | 58 |
| 55.30 | 397 |
| 64.80 | 204 |
| 69.27 | 31 |

---

# 12
This entry pairs a crystal structure of BaLaMgO4 with its computed X-ray powder pattern. Radiation: Cu Kα. Structure: a cell relaxed with GGA-PBE.
Neutral-atom scattering factors, no anomalous dispersion.

Structure:
a b c (Å): 7.094 7.094 5.754
angles (deg): 90.00 90.00 133.73
Atoms (fractional coordinates):
Ba 0.104 0.896 0.750
Ba 0.896 0.104 0.250
La 0.385 0.615 0.750
La 0.615 0.385 0.250
Mg 0.255 0.745 0.250
Mg 0.745 0.255 0.750
O 0.000 0.500 0.000
O 0.000 0.500 0.500
O 0.091 0.909 0.250
O 0.436 0.564 0.250
O 0.500 0.000 0.000
O 0.500 0.000 0.500
O 0.564 0.436 0.750
O 0.909 0.091 0.750

Principal peaks in the range 2θ from 5° to 70°, low angle first:
| 2θ (°) | intensity |
| --- | --- |
| 23.24 | 608 |
| 27.34 | 244 |
| 30.34 | 1000 |
| 31.09 | 392 |
| 32.12 | 359 |
| 41.87 | 275 |
| 42.67 | 260 |
| 45.30 | 399 |
| 54.29 | 193 |
| 54.84 | 196 |

---

# 13
This entry pairs a crystal structure of BaLaMgPb with its computed X-ray powder pattern. Radiation: Cu Kα. Structure: a cell relaxed with GGA-PBE.
Neutral-atom scattering factors, no anomalous dispersion.

Structure:
a b c (Å): 5.833 5.833 5.833
angles (deg): 60.00 60.00 60.00
Atoms (fractional coordinates):
Ba 0.000 0.000 0.000
La 0.500 0.500 0.500
Mg 0.750 0.750 0.750
Pb 0.250 0.250 0.250

Principal peaks in the range 2θ from 5° to 70°, low angle first:
| 2θ (°) | intensity |
| --- | --- |
| 18.63 | 275 |
| 21.54 | 8 |
| 30.65 | 1000 |
| 36.11 | 168 |
| 43.90 | 187 |
| 48.08 | 77 |
| 54.49 | 398 |
| 58.10 | 59 |
| 63.83 | 124 |
| 67.13 | 58 |

---

# 14
This entry pairs a crystal structure of BaLaMg2Pt with its computed X-ray powder pattern. Radiation: Cu Kα. Structure: a cell relaxed with GGA-PBE.
Neutral-atom scattering factors, no anomalous dispersion.

Structure:
a b c (Å): 5.392 5.392 5.489
angles (deg): 90.00 90.00 90.00
Atoms (fractional coordinates):
Ba 0.000 0.000 0.000
La 0.500 0.500 0.000
Mg 0.000 0.500 0.500
Mg 0.500 0.000 0.500
Pt 0.500 0.500 0.500

Principal peaks in the range 2θ from 5° to 70°, low angle first:
| 2θ (°) | intensity |
| --- | --- |
| 16.44 | 521 |
| 23.12 | 423 |
| 23.33 | 1000 |
| 32.63 | 338 |
| 33.23 | 644 |
| 40.50 | 477 |
| 47.26 | 479 |
| 47.71 | 233 |
| 58.99 | 247 |
| 64.32 | 247 |